Record 1
Mg3Ru5: theoretical powder X-ray diffraction pattern (Cu Ka), based on a structure optimized by DFT (PBE).
Intensities are scaled so that the largest is 100.

Largest 10 diffraction maxima, in order of rising 2θ, 2θ = 10–90°:
| 2theta | intensity |
| --- | --- |
| 17.29 | 12 |
| 28.13 | 11 |
| 29.18 | 20 |
| 40.98 | 100 |
| 41.45 | 24 |
| 42.04 | 23 |
| 60.51 | 16 |
| 75.28 | 16 |
| 76.10 | 15 |
| 88.87 | 10 |

Structural model:
```
Mg3Ru5
1.0
3.172 -4.357 0.000
3.172 4.357 0.000
0.000 0.000 4.298
Mg Ru
3 5
Cartesian
0.000 0.000 0.000
3.172 2.236 2.149
3.172 -2.236 2.149
1.586 2.179 0.000
1.677 0.000 2.149
1.586 -2.179 0.000
3.172 0.000 0.000
4.668 0.000 2.149
```

---

Record 2
Sc4S3O: theoretical powder X-ray diffraction pattern (Cu Ka), based on a structure optimized by DFT (PBE).
Intensities are scaled so that the largest is 100.

Largest 10 diffraction maxima, in order of rising 2θ, 2θ = 10–90°:
| 2theta | intensity |
| --- | --- |
| 24.17 | 100 |
| 25.22 | 71 |
| 35.55 | 92 |
| 37.42 | 32 |
| 41.87 | 46 |
| 42.36 | 33 |
| 43.45 | 36 |
| 43.81 | 53 |
| 56.07 | 36 |
| 57.63 | 43 |

Structural model:
```
Sc4S3O
1.0
5.051 0.000 0.000
0.000 8.629 0.000
0.000 0.000 7.063
Sc S O
8 6 2
Cartesian
1.263 0.250 1.592
1.263 2.157 4.539
1.263 4.064 1.592
1.263 6.472 4.532
3.788 2.157 2.531
3.788 4.565 5.470
3.788 6.472 2.523
3.788 8.379 5.470
1.263 4.412 6.013
1.263 6.472 2.048
1.263 8.532 6.013
3.788 0.098 1.049
3.788 2.157 5.015
3.788 4.217 1.049
1.263 2.157 2.435
3.788 6.472 4.627
```

---

Record 3
Tl2Sn2Te2Se: theoretical powder X-ray diffraction pattern (Cu Ka), based on a structure optimized by DFT (PBE).
Intensities are scaled so that the largest is 100.

Largest 10 diffraction maxima, in order of rising 2θ, 2θ = 10–90°:
| 2theta | intensity |
| --- | --- |
| 25.43 | 44 |
| 26.39 | 57 |
| 26.55 | 100 |
| 26.66 | 100 |
| 30.46 | 50 |
| 30.59 | 50 |
| 30.94 | 78 |
| 35.41 | 46 |
| 36.68 | 40 |
| 39.24 | 62 |

Structural model:
```
Tl2Sn2Te2Se
1.0
4.592 0.000 0.000
0.025 7.787 0.000
2.278 3.569 7.351
Tl Sn Te Se
2 2 2 1
Cartesian
1.148 3.516 3.437
5.747 7.839 3.914
3.423 5.124 6.610
3.472 6.231 0.740
3.457 10.034 5.978
3.438 1.322 1.373
3.447 5.678 3.675
```

---

Record 4
K2PdCl2F2: theoretical powder X-ray diffraction pattern (Cu Ka), based on a structure optimized by DFT (PBE).
Intensities are scaled so that the largest is 100.

Largest 10 diffraction maxima, in order of rising 2θ, 2θ = 10–90°:
| 2theta | intensity |
| --- | --- |
| 14.51 | 78 |
| 15.36 | 42 |
| 16.50 | 40 |
| 23.25 | 35 |
| 25.06 | 40 |
| 28.59 | 65 |
| 29.75 | 100 |
| 34.05 | 84 |
| 34.82 | 61 |
| 44.24 | 35 |

Structural model:
```
K2PdCl2F2
1.0
6.269 -2.047 0.000
6.269 2.047 0.000
-3.672 0.000 6.105
K Pd Cl F
2 1 2 2
Cartesian
1.531 0.000 1.277
7.335 0.000 4.828
-1.836 0.000 3.053
4.879 0.000 1.331
3.987 0.000 4.774
0.096 0.000 3.536
8.770 0.000 2.569
```

---

Record 5
AcCuAu2O8: theoretical powder X-ray diffraction pattern (Cu Ka), based on a structure optimized by DFT (PBE).
Intensities are scaled so that the largest is 100.

Largest 10 diffraction maxima, in order of rising 2θ, 2θ = 10–90°:
| 2theta | intensity |
| --- | --- |
| 24.38 | 100 |
| 31.14 | 83 |
| 34.76 | 30 |
| 47.35 | 68 |
| 49.97 | 15 |
| 56.36 | 16 |
| 59.15 | 17 |
| 60.06 | 20 |
| 71.30 | 16 |
| 81.82 | 14 |

Structural model:
```
AcCuAu2O8
1.0
-3.650 3.650 3.456
3.650 -3.650 3.456
3.650 3.650 -3.456
Ac Cu Au O
1 1 2 8
Cartesian
0.000 0.000 0.000
0.000 3.650 1.728
3.650 0.000 1.728
0.000 0.000 3.456
2.501 0.000 0.133
4.800 0.000 0.133
3.650 2.289 -1.431
3.650 -1.149 3.324
0.000 1.361 2.025
3.650 1.149 3.324
2.289 3.650 1.431
1.361 0.000 4.888
```

---

Record 6
AcAlSi2Pd: theoretical powder X-ray diffraction pattern (Cu Ka), based on a structure optimized by DFT (PBE).
Intensities are scaled so that the largest is 100.

Largest 10 diffraction maxima, in order of rising 2θ, 2θ = 10–90°:
| 2theta | intensity |
| --- | --- |
| 22.21 | 82 |
| 33.05 | 59 |
| 33.93 | 100 |
| 41.66 | 37 |
| 47.71 | 23 |
| 48.47 | 22 |
| 54.18 | 30 |
| 55.12 | 18 |
| 65.79 | 18 |
| 71.10 | 24 |

Structural model:
```
AcAlSi2Pd
1.0
-2.168 2.168 5.209
2.168 -2.168 5.209
2.168 2.168 -5.209
Ac Al Si Pd
1 1 2 1
Cartesian
0.000 0.000 0.000
0.000 2.168 2.605
0.000 0.000 3.975
0.000 0.000 6.444
2.168 0.000 2.605
```